# 1
Theoretical powder diffraction line list of BaEuFeBiO6 for Cu Kα (weighted mean of Kα1 and Kα2), from a GGA+U-relaxed structure.
Peak positions follow from Bragg's law for the DFT cell and can differ from measured ones.

Crystal structure
Cell lengths 5.886, 5.886, 5.886 Å; angles 60.00, 60.00, 60.00 degrees
Sites, in units of the cell vectors:
Ba 0.000 0.000 0.000
Eu 0.500 0.500 0.500
Fe 0.250 0.250 0.250
Bi 0.750 0.750 0.750
O 0.007 0.007 0.493
O 0.007 0.493 0.007
O 0.007 0.493 0.493
O 0.493 0.007 0.007
O 0.493 0.007 0.493
O 0.493 0.493 0.007

Most intense lines, 2θ from 10° to 90°, by angle:
d [Å]	intensity
4.806	16
2.943	100
2.510	11
2.081	29
1.699	41
1.471	18
1.316	18
1.112	22

# 2
Theoretical powder diffraction line list of Li5Cr2Cu3O10 for Cu Kα (weighted mean of Kα1 and Kα2), from a GGA+U-relaxed structure.
Peak positions follow from Bragg's law for the DFT cell and can differ from measured ones.

Crystal structure
Cell lengths 5.052, 7.623, 10.711 Å; angles 69.63, 78.66, 77.38 degrees
Sites, in units of the cell vectors:
Li 0.245 0.390 0.052
Li 0.246 0.796 0.851
Li 0.250 0.500 0.750
Li 0.254 0.203 0.648
Li 0.254 0.610 0.449
Li 0.746 0.390 0.551
Li 0.746 0.797 0.352
Li 0.750 0.500 0.250
Li 0.754 0.204 0.149
Li 0.755 0.610 0.948
Cr 0.229 0.694 0.164
Cr 0.272 0.307 0.337
Cr 0.728 0.693 0.663
Cr 0.771 0.306 0.836
Cu 0.246 0.902 0.554
Cu 0.250 0.000 0.250
Cu 0.254 0.098 0.947
Cu 0.746 0.902 0.053
Cu 0.750 0.000 0.750
Cu 0.754 0.098 0.446
O 0.012 0.333 0.941
O 0.015 0.064 0.835
O 0.035 0.552 0.330
O 0.049 0.163 0.510
O 0.049 0.243 0.240
O 0.450 0.756 0.261
O 0.451 0.838 0.989
O 0.464 0.449 0.169
O 0.484 0.935 0.666
O 0.490 0.667 0.558
O 0.510 0.333 0.442
O 0.516 0.065 0.334
O 0.536 0.551 0.831
O 0.549 0.162 0.011
O 0.550 0.244 0.739
O 0.951 0.757 0.760
O 0.951 0.837 0.490
O 0.965 0.448 0.670
O 0.985 0.936 0.165
O 0.988 0.667 0.059

Most intense lines, 2θ from 10° to 90°, by angle:
d [Å]	intensity
7.051	100
4.861	84
4.635	28
4.175	28
2.432	34
2.313	76
2.043	57
1.978	54

# 3
Theoretical powder diffraction line list of MgFeHO2 for Cu Kα (weighted mean of Kα1 and Kα2), from a GGA+U-relaxed structure.
Peak positions follow from Bragg's law for the DFT cell and can differ from measured ones.

Crystal structure
Cell lengths 3.148, 3.148, 7.062 Å; angles 90.00, 90.00, 120.00 degrees
Sites, in units of the cell vectors:
Mg 0.000 0.000 0.000
Fe 0.000 0.000 0.636
H 0.667 0.333 0.359
O 0.333 0.667 0.843
O 0.667 0.333 0.499

Most intense lines, 2θ from 10° to 90°, by angle:
d [Å]	intensity
7.062	100
3.531	12
2.726	33
2.543	27
2.158	37
1.782	35
1.574	16
1.536	8

# 4
Theoretical powder diffraction line list of NaMnPO4 for Cu Kα (weighted mean of Kα1 and Kα2), from a GGA+U-relaxed structure.
Peak positions follow from Bragg's law for the DFT cell and can differ from measured ones.

Crystal structure
Cell lengths 10.646, 6.408, 5.065 Å; angles 90.00, 90.00, 90.00 degrees
Sites, in units of the cell vectors:
Na 0.000 0.000 0.000
Na 0.000 0.500 0.000
Na 0.500 0.000 0.500
Na 0.500 0.500 0.500
Mn 0.217 0.250 0.484
Mn 0.283 0.750 0.984
Mn 0.717 0.250 0.016
Mn 0.783 0.750 0.516
P 0.104 0.750 0.430
P 0.396 0.250 0.930
P 0.604 0.750 0.070
P 0.896 0.250 0.570
O 0.035 0.250 0.666
O 0.113 0.750 0.734
O 0.172 0.557 0.300
O 0.172 0.943 0.300
O 0.328 0.057 0.800
O 0.328 0.443 0.800
O 0.387 0.250 0.234
O 0.465 0.750 0.166
O 0.535 0.250 0.834
O 0.613 0.750 0.766
O 0.672 0.557 0.200
O 0.672 0.943 0.200
O 0.828 0.057 0.700
O 0.828 0.443 0.700
O 0.887 0.250 0.266
O 0.965 0.750 0.334

Most intense lines, 2θ from 10° to 90°, by angle:
d [Å]	intensity
4.574	32
4.094	30
3.723	68
3.204	49
2.906	77
2.647	100
2.624	89
1.861	58